Starting from a DFT-relaxed cell (GGA-PBE, Alexandria), the XRD peak list of Na3B3H4O8 was calculated for Cu Kα, 1.54184 Å.
Peak positions follow from Bragg's law for the DFT cell and can differ from measured ones.

```
data_Na3B3H4O8
_chemical_formula_sum 'Na12 B12 H16 O32'
_cell_length_a 12.9845
_cell_length_b 7.7481
_cell_length_c 7.0660
_cell_angle_alpha 90.00
_cell_angle_beta 98.66
_cell_angle_gamma 90.00
_space_group_name_H-M_alt 'C 1 c 1'
_space_group_IT_number 9
_space_group_name_Hall 'C -2yc'
loop_
_atom_site_label
_atom_site_type_symbol
_atom_site_fract_x
_atom_site_fract_y
_atom_site_fract_z
_atom_site_occupancy
Na1 Na 0.0000 0.0158 0.0000 1
Na2 Na 0.0900 0.4084 0.4177 1
Na3 Na 0.3443 0.0932 0.5270 1
B1 B 0.2003 0.2190 0.1306 1
B2 B 0.2887 0.4868 0.6908 1
B3 B 0.3993 0.2398 0.1850 1
H1 H 0.0472 0.2718 0.8533 1
H2 H 0.1501 0.0386 0.3103 1
H3 H 0.2082 0.2291 0.8346 1
H4 H 0.3833 0.2510 0.8891 1
O1 O 0.1227 0.1461 0.2449 1
O2 O 0.1627 0.1719 0.9238 1
O3 O 0.1980 0.4121 0.1509 1
O4 O 0.2835 0.3131 0.7049 1
O5 O 0.3027 0.1470 0.1975 1
O6 O 0.3859 0.4305 0.2152 1
O7 O 0.4379 0.2153 0.9980 1
O8 O 0.4778 0.1696 0.3398 1
```

Principal peaks in the range 5 to 70 degrees two-theta, most intense first:
2θ (°)  d (Å)  Rel. int.  hkl
30.93  2.891  100  2 0 2
32.67  2.741  91  3 1 -2
17.71  5.009  88  1 1 -1
28.48  3.134  77  3 1 1
48.64  1.872  52  6 2 -1
37.43  2.403  52  1 3 -1
27.17  3.282  48  2 0 -2
35.45  2.532  43  1 3 0
19.15  4.634  41  1 1 1
28.89  3.091  39  2 2 -1

---

Starting from a DFT-relaxed cell (GGA-PBE, Alexandria), the XRD peak list of Mg2Zn4Cu was calculated for Cu Kα, 1.54184 Å.
Peak positions follow from Bragg's law for the DFT cell and can differ from measured ones.

```
data_Mg2Zn4Cu
_chemical_formula_sum 'Mg8 Zn16 Cu4'
_cell_length_a 6.1368
_cell_length_b 6.1368
_cell_length_c 13.1563
_cell_angle_alpha 90.00
_cell_angle_beta 90.00
_cell_angle_gamma 90.00
_space_group_name_H-M_alt 'I 4/m c m'
_space_group_IT_number 140
_space_group_name_Hall '-I 4 2c'
loop_
_atom_site_label
_atom_site_type_symbol
_atom_site_fract_x
_atom_site_fract_y
_atom_site_fract_z
_atom_site_occupancy
Mg1 Mg 0.1657 0.3343 0.0000 1
Zn1 Zn 0.1520 0.3480 0.3299 1
Cu1 Cu 0.0000 0.0000 0.2500 1
```

Principal peaks in the range 5 to 70 degrees two-theta, most intense first:
2θ (°)  d (Å)  Rel. int.  hkl
38.70  2.326  100  2 1 3
13.46  6.578  71  0 0 2
46.81  1.941  27  3 1 0
46.40  1.957  14  1 1 6
48.94  1.861  12  3 1 2
51.21  1.784  11  2 0 6
41.17  2.193  11  0 0 6
33.35  2.687  10  2 1 1
34.21  2.621  10  1 1 4
66.32  1.409  10  4 1 3

---

Starting from a DFT-relaxed cell (GGA-PBE, Alexandria), the XRD peak list of Tb4Sm4Sc3 was calculated for Cu Kα, 1.54184 Å.
Peak positions follow from Bragg's law for the DFT cell and can differ from measured ones.

```
data_Tb4Sm4Sc3
_chemical_formula_sum 'Tb4 Sm4 Sc3'
_cell_length_a 3.4282
_cell_length_b 5.5658
_cell_length_c 17.7610
_cell_angle_alpha 81.00
_cell_angle_beta 84.47
_cell_angle_gamma 90.00
_space_group_name_H-M_alt 'P -1'
_space_group_IT_number 2
_space_group_name_Hall '-P 1'
loop_
_atom_site_label
_atom_site_type_symbol
_atom_site_fract_x
_atom_site_fract_y
_atom_site_fract_z
_atom_site_occupancy
Tb1 Tb 0.0454 0.0463 0.4086 1
Tb2 Tb 0.1784 0.6790 0.1422 1
Sm1 Sm 0.0892 0.5900 0.3211 1
Sm2 Sm 0.2306 0.2304 0.0392 1
Sc1 Sc 0.3659 0.8652 0.7689 1
Sc2 Sc 0.5000 0.5000 0.5000 1
```

Principal peaks in the range 5 to 70 degrees two-theta, most intense first:
2θ (°)  d (Å)  Rel. int.  hkl
32.47  2.757  100  0 1 6
32.34  2.768  68  -1 1 2
32.16  2.783  52  0 2 1
26.12  3.412  37  1 0 0
57.51  1.603  32  0 3 7
31.67  2.825  29  1 0 4
63.95  1.456  28  2 1 7
17.66  5.021  24  0 1 2
40.27  2.239  24  1 -1 5
41.89  2.156  22  -1 2 1